For GdCo2SiGe, DFT lattice parameters and positions (PBE) gives the theoretical X-ray powder pattern in this record (Cu Ka).
Kinematic intensities with the Lorentz-polarization factor, no thermal factor.

Structure:
```
data_GdCo2SiGe
_cell_length_a 3.9256
_cell_length_b 3.9256
_cell_length_c 9.9994
_cell_angle_alpha 90.00
_cell_angle_beta 90.00
_cell_angle_gamma 90.00
_space_group_name_H-M_alt 'I 4 m m'
_space_group_IT_number 107
_space_group_name_Hall 'I 4 -2'
loop_
_atom_site_label
_atom_site_fract_x
_atom_site_fract_y
_atom_site_fract_z
Gd1 0.0000 0.0000 0.0000
Co1 0.0000 0.5000 0.2433
Si1 0.0000 0.0000 0.6307
Ge1 0.0000 0.0000 0.3729
```

Peak list (10 most intense, 10° ≤ 2θ ≤ 90°, low angle first)
| 2θ/deg | I/Imax | h k l |
| --- | --- | --- |
| 24.4 | 29 | 1 0 1 |
| 32.2 | 17 | 1 1 0 |
| 35.3 | 80 | 1 0 3 |
| 37.0 | 100 | 1 1 2 |
| 46.3 | 49 | 2 0 0 |
| 51.3 | 25 | 1 0 5 |
| 59.5 | 35 | 2 1 3 |
| 65.3 | 19 | 1 1 6 |
| 71.5 | 18 | 2 1 5 |
| 79.6 | 20 | 3 1 2 |